For BiH6C3S6N3, the PBE geometry in the Materials Project gives the simulated powder diffraction line list in this record (copper Kα).

The 10 most intense peaks (2θ = 15–90°), in order of rising 2θ:
Position (°2θ), d [Å], I_rel
17.06, 5.198, 52
18.13, 4.893, 74
19.66, 4.515, 69
21.49, 4.136, 36
22.83, 3.895, 33
25.18, 3.537, 33
26.68, 3.342, 100
30.28, 2.952, 31
31.57, 2.834, 44
34.36, 2.610, 38

Crystal structure
```
BiH6C3S6N3
1.0
6.237 0.000 0.000
-0.625 8.501 0.000
-1.176 -2.986 12.529
Bi H C S N
2 12 6 12 6
direct
0.039 0.142 0.187 Bi
0.961 0.858 0.813 Bi
0.076 0.697 0.435 H
0.093 0.369 0.847 H
0.310 0.637 0.496 H
0.336 0.462 0.919 H
0.363 0.792 0.236 H
0.462 0.251 0.663 H
0.538 0.749 0.337 H
0.637 0.208 0.764 H
0.664 0.538 0.081 H
0.690 0.363 0.504 H
0.907 0.631 0.153 H
0.924 0.303 0.565 H
0.139 0.462 0.377 C
0.151 0.323 0.996 C
0.337 0.081 0.738 C
0.663 0.919 0.262 C
0.849 0.677 0.004 C
0.861 0.538 0.623 C
0.088 0.055 0.665 S
0.091 0.798 0.018 S
0.100 0.581 0.708 S
0.312 0.318 0.382 S
0.326 0.362 0.110 S
0.397 0.978 0.835 S
0.603 0.022 0.165 S
0.674 0.638 0.890 S
0.688 0.682 0.618 S
0.900 0.419 0.292 S
0.909 0.202 0.982 S
0.912 0.945 0.335 S
0.183 0.613 0.437 N
0.198 0.387 0.915 N
0.493 0.184 0.718 N
0.507 0.816 0.282 N
0.802 0.613 0.085 N
0.817 0.387 0.563 N
```

***

For BiH3Ru3C9O9, the PBE geometry in the Materials Project gives the simulated powder diffraction line list in this record (copper Kα).

The 10 most intense peaks (2θ = 15–90°), in order of rising 2θ:
Position (°2θ), d [Å], I_rel
15.79, 5.613, 43
16.02, 5.532, 81
20.45, 4.343, 53
28.05, 3.181, 44
28.58, 3.123, 59
29.03, 3.076, 100
30.65, 2.917, 99
32.36, 2.766, 49
39.24, 2.296, 45
44.02, 2.057, 51

Crystal structure
```
BiH3Ru3C9O9
1.0
8.324 0.000 0.000
3.395 8.742 0.000
3.946 -1.044 12.012
Bi H Ru C O
2 6 6 18 18
direct
0.007 0.215 0.097 Bi
0.993 0.785 0.903 Bi
0.007 0.855 0.641 H
0.157 0.314 0.295 H
0.162 0.594 0.647 H
0.838 0.406 0.353 H
0.843 0.686 0.705 H
0.993 0.145 0.359 H
0.009 0.547 0.765 Ru
0.202 0.120 0.249 Ru
0.209 0.759 0.679 Ru
0.791 0.241 0.321 Ru
0.798 0.880 0.751 Ru
0.991 0.453 0.235 Ru
0.006 0.420 0.650 C
0.179 0.484 0.115 C
0.199 0.400 0.810 C
0.226 0.950 0.708 C
0.235 0.913 0.213 C
0.287 0.093 0.376 C
0.328 0.728 0.519 C
0.417 0.643 0.722 C
0.420 0.110 0.138 C
0.580 0.890 0.862 C
0.583 0.357 0.278 C
0.672 0.272 0.481 C
0.713 0.907 0.624 C
0.765 0.087 0.787 C
0.774 0.050 0.292 C
0.801 0.600 0.190 C
0.821 0.516 0.885 C
0.994 0.580 0.350 C
0.005 0.654 0.417 O
0.237 0.067 0.723 O
0.254 0.786 0.193 O
0.294 0.503 0.043 O
0.315 0.308 0.835 O
0.347 0.076 0.449 O
0.407 0.710 0.424 O
0.445 0.893 0.927 O
0.457 0.431 0.254 O
0.543 0.569 0.746 O
0.555 0.107 0.073 O
0.593 0.290 0.576 O
0.653 0.924 0.551 O
0.685 0.692 0.165 O
0.706 0.497 0.957 O
0.746 0.214 0.807 O
0.763 0.933 0.277 O
0.995 0.346 0.583 O
```

***

For BiIr3C9O9, the PBE geometry in the Materials Project gives the simulated powder diffraction line list in this record (copper Kα).

The 10 most intense peaks (2θ = 15–90°), in order of rising 2θ:
Position (°2θ), d [Å], I_rel
15.80, 5.610, 57
17.78, 4.989, 67
20.02, 4.435, 53
28.45, 3.137, 75
29.13, 3.066, 79
29.74, 3.004, 97
31.09, 2.876, 77
31.90, 2.806, 57
34.77, 2.580, 100
40.98, 2.202, 64

Crystal structure
```
BiIr3C9O9
1.0
8.186 0.000 0.000
3.295 8.520 0.000
2.339 0.221 11.914
Bi Ir C O
2 6 18 18
direct
0.055 0.190 0.411 Bi
0.945 0.810 0.589 Bi
0.037 0.217 0.183 Ir
0.148 0.426 0.284 Ir
0.370 0.107 0.258 Ir
0.630 0.893 0.742 Ir
0.852 0.574 0.716 Ir
0.963 0.783 0.817 Ir
0.018 0.018 0.168 C
0.077 0.412 0.679 C
0.131 0.268 0.033 C
0.209 0.656 0.790 C
0.246 0.501 0.142 C
0.273 0.471 0.386 C
0.392 0.892 0.259 C
0.476 0.896 0.642 C
0.497 0.863 0.886 C
0.503 0.137 0.114 C
0.524 0.104 0.358 C
0.608 0.108 0.741 C
0.727 0.529 0.614 C
0.754 0.499 0.858 C
0.791 0.344 0.210 C
0.869 0.732 0.967 C
0.923 0.588 0.321 C
0.982 0.982 0.832 C
0.005 0.897 0.159 O
0.188 0.296 0.941 O
0.212 0.309 0.656 O
0.304 0.551 0.059 O
0.346 0.501 0.449 O
0.359 0.581 0.773 O
0.376 0.899 0.585 O
0.402 0.762 0.258 O
0.411 0.852 0.972 O
0.589 0.148 0.028 O
0.598 0.238 0.742 O
0.624 0.101 0.415 O
0.641 0.419 0.227 O
0.654 0.499 0.551 O
0.696 0.449 0.941 O
0.788 0.691 0.344 O
0.812 0.704 0.059 O
0.995 0.103 0.841 O
```

***

For La21Mn8Bi7C12, the PBE geometry in the Materials Project gives the simulated powder diffraction line list in this record (copper Kα).

The 10 most intense peaks (2θ = 15–90°), in order of rising 2θ:
Position (°2θ), d [Å], I_rel
27.99, 3.188, 100
30.53, 2.928, 46
31.96, 2.800, 43
32.43, 2.761, 72
41.89, 2.157, 37
46.52, 1.952, 31
54.25, 1.691, 16
55.17, 1.665, 20
57.55, 1.601, 22
60.16, 1.538, 16

Crystal structure
```
La21Mn8Bi7C12
1.0
0.000 8.283 8.283
8.283 0.000 8.283
8.283 8.283 0.000
La Mn Bi C
21 8 7 12
direct
0.000 0.000 0.000 La
0.137 0.137 0.137 La
0.137 0.137 0.590 La
0.137 0.590 0.137 La
0.157 0.500 0.500 La
0.157 0.500 0.843 La
0.157 0.843 0.500 La
0.410 0.863 0.863 La
0.500 0.157 0.500 La
0.500 0.157 0.843 La
0.500 0.500 0.157 La
0.500 0.500 0.843 La
0.500 0.843 0.157 La
0.500 0.843 0.500 La
0.590 0.137 0.137 La
0.843 0.157 0.500 La
0.843 0.500 0.157 La
0.843 0.500 0.500 La
0.863 0.410 0.863 La
0.863 0.863 0.410 La
0.863 0.863 0.863 La
0.096 0.301 0.301 Mn
0.301 0.096 0.301 Mn
0.301 0.301 0.096 Mn
0.301 0.301 0.301 Mn
0.699 0.699 0.699 Mn
0.699 0.699 0.904 Mn
0.699 0.904 0.699 Mn
0.904 0.699 0.699 Mn
0.209 0.209 0.791 Bi
0.209 0.791 0.209 Bi
0.209 0.791 0.791 Bi
0.500 0.500 0.500 Bi
0.791 0.209 0.209 Bi
0.791 0.209 0.791 Bi
0.791 0.791 0.209 Bi
0.107 0.107 0.393 C
0.107 0.393 0.107 C
0.107 0.393 0.393 C
0.393 0.107 0.107 C
0.393 0.107 0.393 C
0.393 0.393 0.107 C
0.607 0.607 0.893 C
0.607 0.893 0.607 C
0.607 0.893 0.893 C
0.893 0.607 0.607 C
0.893 0.607 0.893 C
0.893 0.893 0.607 C
```

***

For Li2BiPCO7, the PBE geometry in the Materials Project gives the simulated powder diffraction line list in this record (copper Kα).

The 10 most intense peaks (2θ = 15–90°), in order of rising 2θ:
Position (°2θ), d [Å], I_rel
15.93, 5.564, 81
19.20, 4.622, 40
21.13, 4.205, 53
21.57, 4.119, 57
25.07, 3.552, 100
30.00, 2.979, 23
32.99, 2.715, 23
35.55, 2.525, 27
35.81, 2.508, 35
38.87, 2.317, 23

Crystal structure
```
Li2BiPCO7
1.0
5.084 0.000 0.000
0.000 7.110 0.000
-0.988 0.000 8.936
Li Bi P C O
4 2 2 2 14
direct
0.236 0.000 0.091 Li
0.244 0.314 0.729 Li
0.756 0.814 0.271 Li
0.764 0.500 0.909 Li
0.212 0.479 0.330 Bi
0.788 0.979 0.670 Bi
0.284 0.986 0.403 P
0.716 0.486 0.597 P
0.314 0.491 0.030 C
0.686 0.991 0.970 C
0.066 0.486 0.059 O
0.140 0.814 0.321 O
0.206 0.018 0.563 O
0.216 0.154 0.294 O
0.380 0.456 0.900 O
0.412 0.448 0.578 O
0.496 0.529 0.141 O
0.504 0.029 0.859 O
0.588 0.948 0.422 O
0.620 0.956 0.100 O
0.784 0.654 0.706 O
0.794 0.518 0.437 O
0.860 0.314 0.679 O
0.934 0.986 0.941 O
```